Entry 1:
Starting from a PBE-relaxed structure, the powder XRD pattern of PbS was calculated for Cu Kα, 1.54184 Å.
Kinematic intensities with the Lorentz-polarization factor, no thermal factor.

Most intense lines, 5 to 70 degrees two-theta, low angle first:
two_theta	I_rel
23.3	28
24.8	82
34.3	100
43.6	31
50.0	24
50.8	13
54.4	23
56.6	24
66.5	15
69.2	10

Structure:
```
PbS
1.0
4.1501 0.0000 0.0000
-2.0751 3.5941 0.0000
0.0000 0.0000 7.6394
Pb S
2 2
Direct
0.0000 0.0000 0.0000
0.0000 0.0000 0.5000
0.3333 0.6667 0.2002
0.6667 0.3333 0.7002
```

=====

Entry 2:
Starting from a PBE-relaxed structure, the powder XRD pattern of PbS was calculated for Cu Kα, 1.54184 Å.
Kinematic intensities with the Lorentz-polarization factor, no thermal factor.

Most intense lines, 5 to 70 degrees two-theta, low angle first:
two_theta	I_rel
25.6	25
25.7	72
29.7	100
42.4	38
42.6	38
50.2	13
50.4	39
52.8	20
61.7	13
69.9	17

Structure:
```
PbS
1.0
2.1223 1.2253 3.4841
-2.1223 1.2253 3.4841
0.0000 -2.4507 3.4841
Pb S
1 1
Direct
0.0000 0.0000 0.0000
0.4863 0.4863 0.4863
```

=====

Entry 3:
Starting from a PBE-relaxed structure, the powder XRD pattern of PbS was calculated for Cu Kα, 1.54184 Å.
Kinematic intensities with the Lorentz-polarization factor, no thermal factor.

Most intense lines, 5 to 70 degrees two-theta, low angle first:
two_theta	I_rel
25.7	96
29.7	100
42.6	76
50.4	51
52.8	27
61.8	13
68.0	22

Structure:
```
PbS
1.0
0.0000 3.0032 3.0032
3.0032 0.0000 3.0032
3.0032 3.0032 0.0000
Pb S
1 1
Direct
0.0000 0.0000 0.0000
0.5000 0.5000 0.5000
```

=====

Entry 4:
Starting from a PBE-relaxed structure, the powder XRD pattern of PbS was calculated for Cu Kα, 1.54184 Å.
Kinematic intensities with the Lorentz-polarization factor, no thermal factor.

Most intense lines, 5 to 70 degrees two-theta, low angle first:
two_theta	I_rel
23.5	25
25.1	81
34.7	100
44.3	29
48.0	8
50.7	21
51.6	12
55.0	20
57.4	24
67.4	17

Structure:
```
PbS
1.0
4.0897 0.0000 0.0000
-2.0448 3.5418 0.0000
0.0000 0.0000 3.7882
Pb S
1 1
Direct
0.0000 0.0000 0.0000
0.6667 0.3333 0.5000
```

=====

Entry 5:
Starting from a PBE-relaxed structure, the powder XRD pattern of PbS was calculated for Cu Kα, 1.54184 Å.
Kinematic intensities with the Lorentz-polarization factor, no thermal factor.

Most intense lines, 5 to 70 degrees two-theta, low angle first:
two_theta	I_rel
22.1	28
25.5	100
29.6	77
30.5	77
37.2	25
42.3	41
43.1	21
48.2	30
48.3	22
50.0	29

Structure:
```
PbS
1.0
12.0847 0.0000 0.0000
0.0000 4.2806 0.0000
0.0000 0.0000 4.2637
Pb S
4 4
Direct
0.1295 0.2500 0.1044
0.3705 0.7500 0.6044
0.6295 0.2500 0.3956
0.8705 0.7500 0.8956
0.1440 0.7500 0.5551
0.3560 0.2500 0.0551
0.6440 0.7500 0.9449
0.8560 0.2500 0.4449
```

=====

Entry 6:
Starting from a PBE-relaxed structure, the powder XRD pattern of PbS was calculated for Cu Kα, 1.54184 Å.
Kinematic intensities with the Lorentz-polarization factor, no thermal factor.

Most intense lines, 5 to 70 degrees two-theta, low angle first:
two_theta	I_rel
24.2	24
24.7	85
34.9	100
43.4	31
50.3	22
50.6	13
56.2	19
56.8	25
68.1	17
68.8	11

Structure:
```
PbS
1.0
4.1692 0.0000 0.0000
-2.0846 3.6107 0.0000
0.0000 0.0000 7.3413
Pb S
2 2
Direct
0.0000 0.0000 0.0000
0.0000 0.0000 0.5000
0.3333 0.6667 0.2500
0.6667 0.3333 0.7500
```

=====

Copy entry 2 word for word.
Starting from a PBE-relaxed structure, the powder XRD pattern of PbS was calculated for Cu Kα, 1.54184 Å.
Kinematic intensities with the Lorentz-polarization factor, no thermal factor.

Most intense lines, 5 to 70 degrees two-theta, low angle first:
two_theta	I_rel
25.6	25
25.7	72
29.7	100
42.4	38
42.6	38
50.2	13
50.4	39
52.8	20
61.7	13
69.9	17

Structure:
```
PbS
1.0
2.1223 1.2253 3.4841
-2.1223 1.2253 3.4841
0.0000 -2.4507 3.4841
Pb S
1 1
Direct
0.0000 0.0000 0.0000
0.4863 0.4863 0.4863
```